1.
Ba4Ta2TiZnO12: theoretical X-ray powder pattern (Cu Kα (weighted mean of Kα1 and Kα2)), based on DFT lattice parameters and positions (PBE).

Crystal structure
```
data_Ba4Ta2TiZnO12
_cell_length_a 5.8122
_cell_length_b 5.8122
_cell_length_c 8.2290
_cell_angle_alpha 90.00
_cell_angle_beta 90.00
_cell_angle_gamma 90.00
_symmetry_space_group_name_H-M 'P 4/m m m'
_symmetry_Int_Tables_number 123
_symmetry_space_group_name_Hall '-P 4 2'
loop_
_atom_site_label
_atom_site_type_symbol
_atom_site_fract_x
_atom_site_fract_y
_atom_site_fract_z
Ba1 Ba 0.0000 0.5000 0.2430
Ta1 Ta 0.0000 0.0000 0.0000
Ta2 Ta 0.5000 0.5000 0.5000
Ti1 Ti 0.0000 0.0000 0.5000
Zn1 Zn 0.5000 0.5000 0.0000
O1 O 0.0000 0.0000 0.2563
O2 O 0.2404 0.2404 0.0000
O3 O 0.2480 0.2480 0.5000
O4 O 0.5000 0.5000 0.2628
```

Principal peaks in the range 10° ≤ 2θ ≤ 80°, by angle:
2theta  intensity
18.7  15
30.8  100
36.2  8
44.1  30
48.2  4
54.7  40
58.3  3
64.1  18
67.4  3
72.7  17



2.
Ba4Ta2TiZnO12: theoretical X-ray powder pattern (Cu Kα (weighted mean of Kα1 and Kα2)), based on DFT lattice parameters and positions (PBE).

Crystal structure
```
data_Ba4Ta2TiZnO12
_cell_length_a 8.2032
_cell_length_b 8.2032
_cell_length_c 16.5448
_cell_angle_alpha 90.00
_cell_angle_beta 90.00
_cell_angle_gamma 90.00
_symmetry_space_group_name_H-M 'I 41/a m d'
_symmetry_Int_Tables_number 141
loop_
_symmetry_equiv_pos_as_xyz
'x,y,z'
'-x,-y,-z'
'-y+1/4,x+3/4,z+1/4'
'y+1/4,-x+3/4,-z+1/4'
'-x+1/2,-y,z+1/2'
'x+1/2,y,-z+1/2'
'y+1/4,-x+1/4,z+3/4'
'-y+1/4,x+1/4,-z+3/4'
'x,-y,-z'
'-x,y,z'
'-y+1/4,-x+1/4,-z+3/4'
'y+1/4,x+1/4,z+3/4'
'-x+1/2,y,-z+1/2'
'x+1/2,-y,z+1/2'
'y+1/4,x+3/4,-z+1/4'
'-y+1/4,-x+3/4,z+1/4'
'x+1/2,y+1/2,z+1/2'
'-x+1/2,-y+1/2,-z+1/2'
'-y+3/4,x+1/4,z+3/4'
'y+3/4,-x+1/4,-z+3/4'
'-x,-y+1/2,z'
'x,y+1/2,-z'
'y+3/4,-x+3/4,z+1/4'
'-y+3/4,x+3/4,-z+1/4'
'x+1/2,-y+1/2,-z+1/2'
'-x+1/2,y+1/2,z+1/2'
'-y+3/4,-x+3/4,-z+1/4'
'y+3/4,x+3/4,z+1/4'
'-x,y+1/2,-z'
'x,-y+1/2,z'
'y+3/4,x+1/4,-z+3/4'
'-y+3/4,-x+1/4,z+3/4'
loop_
_atom_site_label
_atom_site_type_symbol
_atom_site_fract_x
_atom_site_fract_y
_atom_site_fract_z
Ba1 Ba 0.2442 0.0000 0.0000
Ta1 Ta 0.0000 0.2500 0.1261
Ti1 Ti 0.0000 0.2500 0.3750
Zn1 Zn 0.0000 0.2500 0.8750
O1 O 0.0000 0.0014 0.3784
O2 O 0.0000 0.0099 0.1303
O3 O 0.0000 0.2500 0.0091
O4 O 0.0000 0.2500 0.2554
```

Principal peaks in the range 10° ≤ 2θ ≤ 80°, by angle:
2theta  intensity
18.7  22
30.7  100
30.8  49
43.8  15
44.2  29
54.5  20
54.7  39
63.9  18
64.2  9
72.9  17



3.
Ba2TaTlO6: theoretical X-ray powder pattern (Cu Kα (weighted mean of Kα1 and Kα2)), based on DFT lattice parameters and positions (PBE).

Crystal structure
```
data_Ba2TaTlO6
_cell_length_a 8.5297
_cell_length_b 8.5297
_cell_length_c 8.5297
_cell_angle_alpha 90.00
_cell_angle_beta 90.00
_cell_angle_gamma 90.00
_symmetry_space_group_name_H-M 'F m -3 m'
_symmetry_Int_Tables_number 225
_symmetry_space_group_name_Hall '-F 4 2 3'
loop_
_atom_site_label
_atom_site_type_symbol
_atom_site_fract_x
_atom_site_fract_y
_atom_site_fract_z
Ba1 Ba 0.2500 0.2500 0.2500
Ta1 Ta 0.0000 0.0000 0.0000
Tl1 Tl 0.0000 0.0000 0.5000
O1 O 0.0000 0.0000 0.2346
```

Principal peaks in the range 10° ≤ 2θ ≤ 80°, by angle:
2theta  intensity
20.8  7
29.6  100
42.4  28
47.7  3
52.6  41
61.5  18
65.7  1
69.7  18
77.5  6



4.
Ba3Ta2ZnO9: theoretical X-ray powder pattern (Cu Kα (weighted mean of Kα1 and Kα2)), based on DFT lattice parameters and positions (PBE).

Crystal structure
```
data_Ba3Ta2ZnO9
_cell_length_a 5.8522
_cell_length_b 5.8522
_cell_length_c 7.1850
_cell_angle_alpha 90.00
_cell_angle_beta 90.00
_cell_angle_gamma 120.00
_symmetry_space_group_name_H-M 'P -3 m 1'
_symmetry_Int_Tables_number 164
_symmetry_space_group_name_Hall '-P 3 2"'
loop_
_atom_site_label
_atom_site_type_symbol
_atom_site_fract_x
_atom_site_fract_y
_atom_site_fract_z
Ba1 Ba 0.0000 0.0000 0.0000
Ba2 Ba 0.3333 0.6667 0.6622
Ta1 Ta 0.3333 0.6667 0.1750
Zn1 Zn 0.0000 0.0000 0.5000
O1 O 0.0000 0.5000 0.0000
O2 O 0.1728 0.3456 0.3229
```

Principal peaks in the range 10° ≤ 2θ ≤ 80°, by angle:
2theta  intensity
12.3  2
17.5  4
21.5  5
30.5  100
43.7  29
54.2  30
54.3  10
63.5  9
63.6  9
72.1  18



5.
Ba3ZrTa4O15: theoretical X-ray powder pattern (Cu Kα (weighted mean of Kα1 and Kα2)), based on DFT lattice parameters and positions (PBE).

Crystal structure
```
data_Ba3ZrTa4O15
_cell_length_a 12.8291
_cell_length_b 12.8291
_cell_length_c 4.0611
_cell_angle_alpha 90.00
_cell_angle_beta 90.00
_cell_angle_gamma 90.00
_symmetry_space_group_name_H-M 'P 4 b m'
_symmetry_Int_Tables_number 100
loop_
_symmetry_equiv_pos_as_xyz
'x,y,z'
'-y,x,z'
'-x,-y,z'
'y,-x,z'
'-x+1/2,y+1/2,z'
'y+1/2,x+1/2,z'
'x+1/2,-y+1/2,z'
'-y+1/2,-x+1/2,z'
loop_
_atom_site_label
_atom_site_type_symbol
_atom_site_fract_x
_atom_site_fract_y
_atom_site_fract_z
Ba1 Ba 0.0000 0.0000 0.0000
Ba2 Ba 0.1692 0.3308 0.9990
Zr1 Zr 0.0000 0.5000 0.4812
Ta1 Ta 0.0749 0.7871 0.5114
O1 O 0.0000 0.5000 0.9806
O2 O 0.0106 0.3351 0.4815
O3 O 0.0665 0.1378 0.4883
O4 O 0.0803 0.7952 0.9870
O5 O 0.2162 0.7162 0.4877
```

Principal peaks in the range 10° ≤ 2θ ≤ 80°, by angle:
2theta  intensity
25.0  39
26.9  60
28.7  72
29.5  43
31.2  100
33.5  28
44.6  35
50.3  24
53.9  25
55.5  37



6.
BaTe4O9: theoretical X-ray powder pattern (Cu Kα (weighted mean of Kα1 and Kα2)), based on DFT lattice parameters and positions (PBE).

Crystal structure
```
data_BaTe4O9
_cell_length_a 19.9803
_cell_length_b 4.6002
_cell_length_c 23.5486
_cell_angle_alpha 90.00
_cell_angle_beta 112.91
_cell_angle_gamma 90.00
_symmetry_space_group_name_H-M 'C 1 2/c 1'
_symmetry_Int_Tables_number 15
loop_
_symmetry_equiv_pos_as_xyz
'x,y,z'
'-x,-y,-z'
'-x,y,-z+1/2'
'x,-y,z+1/2'
'x+1/2,y+1/2,z'
'-x+1/2,-y+1/2,-z'
'-x+1/2,y+1/2,-z+1/2'
'x+1/2,-y+1/2,z+1/2'
loop_
_atom_site_label
_atom_site_type_symbol
_atom_site_fract_x
_atom_site_fract_y
_atom_site_fract_z
Ba1 Ba 0.2086 0.2100 0.1591
Te1 Te 0.0395 0.3267 0.6527
Te2 Te 0.0838 0.3509 0.5086
Te3 Te 0.1123 0.1677 0.2808
Te4 Te 0.1975 0.0159 0.4496
O1 O 0.0060 0.4983 0.0566
O2 O 0.0576 0.2766 0.1819
O3 O 0.0882 0.2217 0.7463
O4 O 0.1123 0.2567 0.4345
O5 O 0.1262 0.2713 0.6415
O6 O 0.1367 0.3074 0.0315
O7 O 0.1663 0.0740 0.8607
O8 O 0.2022 0.2257 0.2754
O9 O 0.2394 0.1737 0.5523
```

Principal peaks in the range 10° ≤ 2θ ≤ 80°, by angle:
2theta  intensity
20.8  30
24.2  41
24.4  37
24.6  38
25.5  100
27.3  97
27.9  33
29.9  43
30.3  32
30.5  41